PuThOs: theoretical powder diffractogram (Cu Kα, 1.54184 Å), based on a cell relaxed with PBE.
Intensities are scaled so that the largest is 100.

Principal peaks in the range 15° ≤ 2θ ≤ 90°, sorted by position:
2theta  I/Imax
31.27  48.7
31.64  100.0
34.16  83.1
34.62  39.2
34.98  26.0
43.27  50.5

Cell and atoms:
a b c (Å): 7.8429 4.1819 13.2054
angles (deg): 90.00 90.20 90.00
Fractional positions:
Pu 0.0035 0.2500 0.4145
Pu 0.1426 0.2500 0.0391
Pu 0.3667 0.7500 0.7097
Pu 0.6333 0.2500 0.2903
Pu 0.8574 0.7500 0.9609
Pu 0.9965 0.7500 0.5855
Th 0.0316 0.2500 0.7901
Th 0.3454 0.7500 0.4185
Th 0.4634 0.7500 0.1216
Th 0.5366 0.2500 0.8784
Th 0.6546 0.2500 0.5815
Th 0.9684 0.7500 0.2099
Os 0.2463 0.2500 0.2505
Os 0.2684 0.7500 0.9193
Os 0.2709 0.2500 0.5862
Os 0.7291 0.7500 0.4138
Os 0.7316 0.2500 0.0807
Os 0.7537 0.7500 0.7495

In2GaF: theoretical powder diffractogram (Cu Kα, 1.54184 Å), based on a cell relaxed with PBE.
Intensities are scaled so that the largest is 100.

Principal peaks in the range 15° ≤ 2θ ≤ 90°, sorted by position:
2theta  I/Imax
26.03  23.3
37.14  100.0
53.54  16.7
60.47  8.9
66.95  32.9
79.13  10.1

Cell and atoms:
a b c (Å): 4.8415 4.8415 4.8415
angles (deg): 60.00 60.00 60.00
Fractional positions:
In 0.2500 0.2500 0.2500
In 0.7500 0.7500 0.7500
Ga 0.0000 0.0000 0.0000
F 0.5000 0.5000 0.5000